1.
Calculated powder diffractogram of TiWO4 for a wavelength of 1.5418 Å, from a structure optimized by DFT (PBE+U).

Atomic structure:
Cell: 4.7027 3.1264 14.1593 Å, 90.00 90.08 90.00°
Fractional positions:
Ti1 0.0000 0.0000 0.0000
Ti2 0.4973 0.5000 0.1580
Ti3 0.5027 0.5000 0.8420
W1 0.0006 0.0000 0.6753
W2 0.5000 0.5000 0.5000
W3 0.9994 0.0000 0.3247
O1 0.1881 0.5000 0.9367
O2 0.2054 0.5000 0.6056
O3 0.2083 0.5000 0.2566
O4 0.2928 0.0000 0.4310
O5 0.3092 0.0000 0.7773
O6 0.3110 0.0000 0.0958
O7 0.6890 0.0000 0.9042
O8 0.6908 0.0000 0.2227
O9 0.7072 0.0000 0.5690
O10 0.7917 0.5000 0.7434
O11 0.7946 0.5000 0.3944
O12 0.8119 0.5000 0.0633

The 12 most intense peaks (2θ from 10° to 90°), low angle first:
d_spacing  2theta  I (rel.)  hkl
3.917  22.70  27.3  1 0 2
3.331  26.76  100.0  1 0 3
2.860  31.28  12.5  0 1 2
2.831  31.61  11.8  0 0 5
2.605  34.43  80.3  1 1 0
2.561  35.04  12.9  1 1 -1
2.351  38.28  11.1  2 0 0
1.917  47.44  12.2  1 1 5
1.748  52.34  47.5  2 1 -3
1.745  52.43  16.5  2 1 3
1.666  55.14  15.7  2 0 -6
1.415  66.02  15.3  1 2 3

2.
Calculated powder diffractogram of YTiW2O8 for a wavelength of 1.5418 Å, from a structure optimized by DFT (PBE+U).

Atomic structure:
Cell: 5.0801 5.6785 6.0936 Å, 73.42 88.93 71.12°
Fractional positions:
Y1 0.0000 0.0000 0.0000
Ti1 0.5071 0.9716 0.4782
W1 0.2768 0.5022 0.6860
W2 0.7884 0.4631 0.3681
O1 0.2223 0.2925 0.4733
O2 0.2365 0.2856 0.9542
O3 0.3238 0.8117 0.7544
O4 0.3734 0.7603 0.3465
O5 0.6871 0.2736 0.6986
O6 0.7247 0.1674 0.2745
O7 0.8460 0.6891 0.0867
O8 0.8645 0.6958 0.5697

The 12 most intense peaks (2θ from 10° to 90°), low angle first:
d_spacing  2theta  I (rel.)  hkl
5.821  15.22  47.2  0 0 1
5.133  17.27  59.3  0 1 0
4.579  19.39  39.6  0 1 1
3.560  25.01  100.0  1 0 1
3.386  26.32  32.1  0 1 -1
3.195  27.92  62.1  1 1 -1
2.982  29.97  68.0  -1 1 1
2.930  30.51  29.1  0 1 2
2.700  33.18  54.2  1 2 1
2.567  34.96  30.7  0 2 0
2.514  35.71  32.9  2 1 0
1.939  46.86  47.6  2 -1 0